Rb7HgAu3: simulated powder XRD pattern (Cu Kα), based on a cell relaxed with PBE.
Neutral-atom scattering factors, no anomalous dispersion.

Structure:
Cell: 8.529 8.529 8.439 Å, 102.47 102.47 99.25°
Atoms (fractional coordinates):
Rb (0.000, 0.000, 0.000)
Rb (0.118, 0.533, 0.275)
Rb (0.346, 0.346, 0.780)
Rb (0.467, 0.882, 0.725)
Rb (0.533, 0.118, 0.275)
Rb (0.654, 0.654, 0.220)
Rb (0.882, 0.467, 0.725)
Hg (0.000, 0.000, 0.500)
Au (0.279, 0.721, 0.000)
Au (0.500, 0.500, 0.500)
Au (0.721, 0.279, 0.000)

Peak list (10 most intense, 5 to 70 degrees two-theta, by angle)
5.209 Å, 2θ = 17.02°, I 44; 5.032 Å, 2θ = 17.62°, I 77; 3.838 Å, 2θ = 23.17°, I 96; 3.402 Å, 2θ = 26.20°, I 38; 3.289 Å, 2θ = 27.11°, I 100; 3.249 Å, 2θ = 27.45°, I 53; 2.753 Å, 2θ = 32.53°, I 43; 2.543 Å, 2θ = 35.29°, I 84; 2.480 Å, 2θ = 36.23°, I 40; 2.455 Å, 2θ = 36.60°, I 31

PmAl3Ir: simulated powder XRD pattern (Cu Kα), based on a cell relaxed with PBE.
Neutral-atom scattering factors, no anomalous dispersion.

Structure:
Cell: 4.319 4.319 5.309 Å, 90.00 90.00 90.00°
Atoms (fractional coordinates):
Pm (0.000, 0.000, 0.000)
Al (0.000, 0.500, 0.482)
Al (0.500, 0.000, 0.482)
Al (0.500, 0.500, 0.790)
Ir (0.500, 0.500, 0.253)

Peak list (10 most intense, 5 to 70 degrees two-theta, by angle)
5.309 Å, 2θ = 16.70°, I 58; 3.351 Å, 2θ = 26.60°, I 100; 3.054 Å, 2θ = 29.24°, I 80; 2.648 Å, 2θ = 33.86°, I 76; 2.262 Å, 2θ = 39.86°, I 95; 2.160 Å, 2θ = 41.83°, I 56; 2.001 Å, 2θ = 45.31°, I 27; 1.815 Å, 2θ = 50.26°, I 36; 1.562 Å, 2θ = 59.15°, I 60; 1.527 Å, 2θ = 60.64°, I 19

NaInPt: simulated powder XRD pattern (Cu Kα), based on a cell relaxed with PBE.
Neutral-atom scattering factors, no anomalous dispersion.

Structure:
Cell: 8.044 8.044 8.044 Å, 145.93 60.29 131.86°
Atoms (fractional coordinates):
Na (0.000, 0.000, 0.000)
Na (0.494, 0.136, 0.358)
Na (0.778, 0.136, 0.642)
In (0.327, 0.639, 0.688)
In (0.499, 0.499, 0.000)
In (0.950, 0.639, 0.312)
Pt (0.169, 0.345, 0.824)
Pt (0.276, 0.776, 0.500)
Pt (0.521, 0.345, 0.176)

Peak list (10 most intense, 5 to 70 degrees two-theta, by angle)
5.935 Å, 2θ = 14.93°, I 100; 3.828 Å, 2θ = 23.24°, I 33; 3.354 Å, 2θ = 26.58°, I 28; 2.644 Å, 2θ = 33.91°, I 20; 2.562 Å, 2θ = 35.03°, I 27; 2.357 Å, 2θ = 38.19°, I 29; 2.329 Å, 2θ = 38.67°, I 69; 2.319 Å, 2θ = 38.84°, I 21; 1.908 Å, 2θ = 47.67°, I 21; 1.734 Å, 2θ = 52.78°, I 17

Fe4PdPt15: simulated powder XRD pattern (Cu Kα), based on a cell relaxed with PBE.
Neutral-atom scattering factors, no anomalous dispersion.

Structure:
Cell: 3.925 3.925 19.598 Å, 90.00 90.00 90.00°
Atoms (fractional coordinates):
Fe (0.000, 0.000, 0.101)
Fe (0.000, 0.000, 0.300)
Fe (0.000, 0.000, 0.700)
Fe (0.000, 0.000, 0.899)
Pd (0.000, 0.000, 0.500)
Pt (0.000, 0.500, 0.000)
Pt (0.000, 0.500, 0.199)
Pt (0.000, 0.500, 0.396)
Pt (0.000, 0.500, 0.604)
Pt (0.000, 0.500, 0.801)
Pt (0.500, 0.000, 0.000)
Pt (0.500, 0.000, 0.199)
Pt (0.500, 0.000, 0.396)
Pt (0.500, 0.000, 0.604)
Pt (0.500, 0.000, 0.801)
Pt (0.500, 0.500, 0.099)
Pt (0.500, 0.500, 0.297)
Pt (0.500, 0.500, 0.500)
Pt (0.500, 0.500, 0.703)
Pt (0.500, 0.500, 0.901)

Peak list (7 most intense, 5 to 70 degrees two-theta, by angle)
3.923 Å, 2θ = 22.66°, I 11; 2.774 Å, 2θ = 32.27°, I 9; 2.265 Å, 2θ = 39.80°, I 100; 1.962 Å, 2θ = 46.28°, I 49; 1.755 Å, 2θ = 52.13°, I 5; 1.602 Å, 2θ = 57.54°, I 4; 1.387 Å, 2θ = 67.53°, I 32

Li4TcN4: simulated powder XRD pattern (Cu Kα), based on a cell relaxed with PBE.
Neutral-atom scattering factors, no anomalous dispersion.

Structure:
Cell: 5.747 5.747 6.155 Å, 90.00 90.00 88.34°
Atoms (fractional coordinates):
Li (0.070, 0.633, 0.750)
Li (0.345, 0.345, 0.000)
Li (0.345, 0.345, 0.500)
Li (0.367, 0.930, 0.750)
Li (0.633, 0.070, 0.250)
Li (0.655, 0.655, 0.000)
Li (0.655, 0.655, 0.500)
Li (0.930, 0.367, 0.250)
Tc (0.171, 0.829, 0.250)
Tc (0.829, 0.171, 0.750)
N (0.140, 0.234, 0.750)
N (0.234, 0.140, 0.250)
N (0.299, 0.701, 0.007)
N (0.299, 0.701, 0.493)
N (0.701, 0.299, 0.507)
N (0.701, 0.299, 0.993)
N (0.766, 0.860, 0.750)
N (0.860, 0.766, 0.250)

Peak list (10 most intense, 5 to 70 degrees two-theta, by angle)
5.744 Å, 2θ = 15.43°, I 28; 4.200 Å, 2θ = 21.16°, I 100; 4.122 Å, 2θ = 21.56°, I 33; 3.357 Å, 2θ = 26.56°, I 34; 2.872 Å, 2θ = 31.14°, I 22; 2.713 Å, 2θ = 33.02°, I 23; 2.603 Å, 2θ = 34.46°, I 21; 2.394 Å, 2θ = 37.56°, I 25; 1.959 Å, 2θ = 46.35°, I 20; 1.626 Å, 2θ = 56.61°, I 16

Tb2PrPd: simulated powder XRD pattern (Cu Kα), based on a cell relaxed with PBE.
Neutral-atom scattering factors, no anomalous dispersion.

Structure:
Cell: 3.816 9.436 6.597 Å, 90.00 106.80 90.00°
Atoms (fractional coordinates):
Tb (0.137, 0.060, 0.274)
Tb (0.137, 0.440, 0.274)
Tb (0.863, 0.560, 0.726)
Tb (0.863, 0.940, 0.726)
Pr (0.439, 0.250, 0.876)
Pr (0.561, 0.750, 0.124)
Pd (0.266, 0.750, 0.530)
Pd (0.734, 0.250, 0.470)

Peak list (10 most intense, 5 to 70 degrees two-theta, by angle)
2.994 Å, 2θ = 29.84°, I 31; 2.888 Å, 2θ = 30.96°, I 100; 2.827 Å, 2θ = 31.65°, I 48; 2.815 Å, 2θ = 31.78°, I 72; 2.708 Å, 2θ = 33.08°, I 87; 2.624 Å, 2θ = 34.17°, I 47; 2.383 Å, 2θ = 37.74°, I 51; 1.750 Å, 2θ = 52.27°, I 31; 1.631 Å, 2θ = 56.40°, I 32; 1.570 Å, 2θ = 58.83°, I 29